Diffraction record for Pm2SnI. The powder diffraction line list is calculated, not measured: it uses a DFT-relaxed cell (GGA-PBE, Alexandria) and Cu Kα.
Intensities are scaled so that the largest is 100.

The 10 most intense peaks (2θ = 5–70°), most intense first:
- 2θ = 27.7°, I 100.0
- 2θ = 39.5°, I 74.3
- 2θ = 64.7°, I 31.2
- 2θ = 49.0°, I 25.9
- 2θ = 57.2°, I 11.6
- 2θ = 36.2°, I 4.9
- 2θ = 54.7°, I 4.2
- 2θ = 50.6°, I 3.5
- 2θ = 30.2°, I 3.1
- 2θ = 11.9°, I 2.4

```
Pm2SnI
1.0
2.279 1.316 7.441
-2.279 1.316 7.441
0.000 -2.632 7.441
Pm Sn I
2 1 1
direct
0.239 0.239 0.239
0.761 0.761 0.761
0.500 0.500 0.500
0.000 0.000 0.000
```